Starting from a structure optimized by DFT (GGA+U), the powder diffraction line list of Fe2Te3O9 was computed for copper Kα.
Peak positions follow from Bragg's law for the DFT cell and can differ from measured ones.

Peak list (12 most intense, 10 to 90 degrees two-theta, sorted by position)
index, 2θ/deg, Rel. int.
2 0 1, 20.0, 29.0
2 1 1, 23.2, 26.9
0 2 0, 23.3, 36.1
1 0 3, 25.5, 100.0
2 1 2, 27.0, 24.1
2 2 0, 29.8, 84.3
2 2 1, 30.9, 24.4
3 1 2, 34.2, 24.6
1 2 3, 34.8, 74.2
3 2 2, 40.0, 25.3
0 2 6, 54.6, 20.4
1 4 3, 54.8, 34.9

Cell and atoms:
```
Fe2Te3O9
1.0
9.6566 0.0000 0.0000
0.0000 7.6319 0.0000
0.0000 0.0000 11.2393
Fe Te O
8 12 36
Direct
0.2269 0.0557 0.0590 Fe
0.2269 0.4443 0.0590 Fe
0.2731 0.5557 0.5590 Fe
0.2731 0.9443 0.5590 Fe
0.7269 0.0557 0.4410 Fe
0.7269 0.4443 0.4410 Fe
0.7731 0.5557 0.9410 Fe
0.7731 0.9443 0.9410 Fe
0.0331 0.2500 0.8360 Te
0.0409 0.2500 0.4888 Te
0.1094 0.7500 0.8232 Te
0.3906 0.2500 0.3232 Te
0.4591 0.7500 0.9888 Te
0.4669 0.7500 0.3360 Te
0.5331 0.2500 0.6640 Te
0.5409 0.2500 0.0112 Te
0.6094 0.7500 0.6768 Te
0.8906 0.2500 0.1768 Te
0.9591 0.7500 0.5112 Te
0.9669 0.7500 0.1640 Te
0.0787 0.2500 0.0092 O
0.0915 0.5628 0.1565 O
0.0915 0.9372 0.1565 O
0.0980 0.0667 0.5956 O
0.0980 0.4333 0.5956 O
0.1494 0.7500 0.4631 O
0.1997 0.5651 0.9037 O
0.1997 0.9349 0.9037 O
0.2381 0.7500 0.6895 O
0.2619 0.2500 0.1895 O
0.3003 0.0651 0.4037 O
0.3003 0.4349 0.4037 O
0.3506 0.2500 0.9631 O
0.4020 0.5667 0.0956 O
0.4020 0.9333 0.0956 O
0.4085 0.0628 0.6565 O
0.4085 0.4372 0.6565 O
0.4213 0.7500 0.5092 O
0.5787 0.2500 0.4908 O
0.5915 0.5628 0.3435 O
0.5915 0.9372 0.3435 O
0.5980 0.0667 0.9044 O
0.5980 0.4333 0.9044 O
0.6494 0.7500 0.0369 O
0.6997 0.5651 0.5963 O
0.6997 0.9349 0.5963 O
0.7381 0.7500 0.8105 O
0.7619 0.2500 0.3105 O
0.8003 0.0651 0.0963 O
0.8003 0.4349 0.0963 O
0.8506 0.2500 0.5369 O
0.9020 0.5667 0.4044 O
0.9020 0.9333 0.4044 O
0.9085 0.0628 0.8435 O
0.9085 0.4372 0.8435 O
0.9213 0.7500 0.9908 O
```